# 1
Structure and computed powder XRD pattern of ZrGaGe2O8 (a cell relaxed with PBE; Cu Kα X-rays).
Lines closer than 0.1° are merged.

Structural model:
```
ZrGaGe2O8
1.0
-3.3140 3.3140 3.2125
3.3140 -3.3140 3.2125
3.3140 3.3140 -3.2125
Zr Ga Ge O
1 1 2 8
Direct
0.0000 0.0000 0.0000
0.2500 0.7500 0.5000
0.5000 0.5000 0.0000
0.7500 0.2500 0.5000
0.3070 0.1122 0.8053
0.3070 0.5017 0.1947
0.3722 0.0631 0.3090
0.4983 0.6930 0.8053
0.7541 0.0631 0.6910
0.8878 0.6930 0.1947
0.9369 0.2459 0.3090
0.9369 0.6278 0.6910
```

Principal peaks in the range 5° ≤ 2θ ≤ 70°, in order of rising 2θ:
two_theta  I_rel
26.90  100
33.83  78
38.41  17
39.05  4
52.10  64
55.45  17
57.36  5
62.69  13
64.47  15
66.56  19

=====

# 2
Structure and computed powder XRD pattern of Pa4GaGe4 (a cell relaxed with PBE; Cu Kα X-rays).
Lines closer than 0.1° are merged.

Structural model:
```
Pa4GaGe4
1.0
8.2666 0.0000 0.0000
0.0000 8.2666 0.0000
0.0000 0.0000 5.7645
Pa Ga Ge
8 2 8
Direct
0.0875 0.8138 0.1204
0.1862 0.5875 0.6204
0.3138 0.9125 0.6204
0.4125 0.6862 0.1204
0.5875 0.3138 0.8796
0.6862 0.0875 0.3796
0.8138 0.4125 0.3796
0.9125 0.1862 0.8796
0.2500 0.2500 0.7500
0.7500 0.7500 0.2500
0.0531 0.1343 0.3815
0.1343 0.4469 0.1185
0.3657 0.0531 0.1185
0.4469 0.3657 0.3815
0.5531 0.6343 0.6185
0.6343 0.9469 0.8815
0.8657 0.5531 0.8815
0.9469 0.8657 0.6185
```

Principal peaks in the range 5° ≤ 2θ ≤ 70°, in order of rising 2θ:
two_theta  I_rel
15.16  43
28.69  35
32.91  87
34.35  100
36.13  54
37.79  52
39.65  24
42.43  32
50.89  23
69.36  25

=====

# 3
Structure and computed powder XRD pattern of PaGa2Ge2 (a cell relaxed with PBE; Cu Kα X-rays).
Lines closer than 0.1° are merged.

Structural model:
```
PaGa2Ge2
1.0
2.0512 -11.5480 0.0000
2.0512 11.5480 0.0000
0.0000 0.0000 4.1471
Pa Ga Ge
2 4 4
Direct
0.1504 0.8496 0.7500
0.8496 0.1504 0.2500
0.0457 0.9543 0.2500
0.4548 0.5452 0.2500
0.5452 0.4548 0.7500
0.9543 0.0457 0.7500
0.2494 0.7506 0.2500
0.3580 0.6420 0.7500
0.6420 0.3580 0.2500
0.7506 0.2494 0.7500
```

Principal peaks in the range 5° ≤ 2θ ≤ 70°, in order of rising 2θ:
two_theta  I_rel
22.78  11
24.59  11
30.91  10
36.43  100
39.00  20
43.65  15
44.15  15
59.95  11
60.36  12
68.97  14